This entry pairs a crystal structure of Lu4Hg2B with its calculated powder diffractogram. Radiation: copper Kα. Structure: a cell relaxed with PBE.
Neutral-atom scattering factors, no anomalous dispersion.

Most intense lines, 5° ≤ 2θ ≤ 70°, low angle first:
2θ = 25.84°, 3.448 Å, I = 25; 2θ = 28.57°, 3.125 Å, I = 71; 2θ = 35.50°, 2.529 Å, I = 27; 2θ = 35.60°, 2.522 Å, I = 100; 2θ = 36.87°, 2.438 Å, I = 72; 2θ = 52.81°, 1.733 Å, I = 26; 2θ = 53.13°, 1.724 Å, I = 26; 2θ = 65.59°, 1.423 Å, I = 39

Cell and atoms:
Cell: 8.1595 8.1595 8.1595 Å, 145.23 145.23 49.99°
Positions (direct):
1 Lu 0.0000 0.5000 0.5000
2 Lu 0.1710 0.1710 0.0000
3 Lu 0.5000 0.0000 0.5000
4 Lu 0.8290 0.8290 0.0000
5 Hg 0.3693 0.3693 0.0000
6 Hg 0.6307 0.6307 0.0000
7 B 0.0000 0.0000 0.0000